The following is a calculated powder X-ray diffraction pattern of RbIO. It was derived from a structure optimized by DFT (GGA-PBE), using Cu Kα, 1.54184 Å.

Largest 6 diffraction maxima, low angle first, 2θ = 10–90°:
(hkl), two_theta, I_rel
1 1 0, 16.0, 898
0 0 2, 24.0, 534
3 1 0, 27.9, 1000
0 2 0, 28.0, 460
1 1 2, 29.0, 429
0 2 2, 37.2, 729

Structural model:
a b c (Å): 11.113 6.372 7.419
angles (deg): 90.00 90.24 90.00
Space group C2/m (No. 12)
Symmetry-distinct sites (fractional):
Rb (0.162, 0.000, 0.245) [4 per cell]
I (0.170, 0.000, 0.741) [4 per cell]
O (0.000, 0.403, 0.000) [4 per cell]

=====

The following is a calculated powder X-ray diffraction pattern of RbI3O9. It was derived from a structure optimized by DFT (GGA-PBE), using Cu Kα, 1.54184 Å.

Largest 6 diffraction maxima, low angle first, 2θ = 10–90°:
(hkl), two_theta, I_rel
0 0 2, 19.3, 869
0 1 -2, 21.9, 433
0 2 0, 27.2, 1000
2 -2 0, 28.9, 614
2 0 0, 29.3, 580
2 0 -2, 29.8, 670

Structural model:
a b c (Å): 7.204 7.484 9.675
angles (deg): 90.03 105.69 117.47
Space group P-1 (No. 2)
Symmetry-distinct sites (fractional):
Rb (0.082, 0.309, 0.398) [2 per cell]
I (0.025, 0.228, 0.809) [2 per cell]
I (0.452, 0.773, 0.164) [2 per cell]
I (0.473, 0.281, 0.204) [2 per cell]
O (0.126, 0.142, 0.684) [2 per cell]
O (0.170, 0.081, 0.167) [2 per cell]
O (0.192, 0.744, 0.323) [2 per cell]
O (0.195, 0.724, 0.036) [2 per cell]
O (0.232, 0.541, 0.796) [2 per cell]
O (0.352, 0.454, 0.123) [2 per cell]
O (0.384, 0.171, 0.971) [2 per cell]
O (0.425, 0.922, 0.765) [2 per cell]
O (0.480, 0.644, 0.609) [2 per cell]

=====

The following is a calculated powder X-ray diffraction pattern of Rb8I5O. It was derived from a structure optimized by DFT (GGA-PBE), using Cu Kα, 1.54184 Å.

Largest 6 diffraction maxima, low angle first, 2θ = 10–90°:
(hkl), two_theta, I_rel
3 1 1, 19.7, 749
4 0 0, 23.8, 835
3 3 3, 31.1, 272
4 4 0, 34.0, 1000
7 3 1, 46.7, 239
8 4 4, 60.8, 252

Structural model:
a b c (Å): 14.930 14.930 14.930
angles (deg): 90.00 90.00 90.00
Space group F-43m (No. 216)
Symmetry-distinct sites (fractional):
Rb (0.102, 0.102, 0.398) [16 per cell]
Rb (0.114, 0.114, 0.886) [16 per cell]
I (0.128, 0.128, 0.128) [16 per cell]
I (0.250, 0.250, 0.750) [4 per cell]
O (0.000, 0.000, 0.500) [4 per cell]

=====

The following is a calculated powder X-ray diffraction pattern of RbIO2. It was derived from a structure optimized by DFT (GGA-PBE), using Cu Kα, 1.54184 Å.

Largest 6 diffraction maxima, low angle first, 2θ = 10–90°:
(hkl), two_theta, I_rel
0 0 4, 22.6, 237
2 0 2, 25.6, 1000
2 2 0, 32.6, 227
2 2 4, 40.0, 335
2 0 6, 41.6, 261
4 2 2, 54.0, 242

Structural model:
a b c (Å): 7.776 7.776 15.721
angles (deg): 90.00 90.00 90.00
Space group I4_1/a (No. 88, origin choice 2)
Symmetry-distinct sites (fractional):
Rb (0.000, 0.000, 0.000) [8 per cell]
I (0.000, 0.000, 0.500) [8 per cell]
O (0.054, 0.327, 0.389) [16 per cell]

=====

The following is a calculated powder X-ray diffraction pattern of RbIO2. It was derived from a structure optimized by DFT (GGA-PBE), using Cu Kα, 1.54184 Å.

Largest 6 diffraction maxima, low angle first, 2θ = 10–90°:
(hkl), two_theta, I_rel
0 1 1, 18.2, 86
1 0 2, 25.9, 1000
0 2 2, 36.9, 165
0 1 4, 45.5, 111
3 0 0, 45.7, 294
1 2 4, 60.0, 80

Structural model:
a b c (Å): 6.8771 6.8771 8.4592
angles (deg): 90.00 90.00 120.00
Space group P3_121 (No. 152)
Symmetry-distinct sites (fractional):
Rb (0.0000, 0.6203, 0.1667) [3 per cell]
I (0.0000, 0.6771, 0.6667) [3 per cell]
O (0.0413, 0.2938, 0.9527) [6 per cell]

=====

The following is a calculated powder X-ray diffraction pattern of Rb6I3O. It was derived from a structure optimized by DFT (GGA-PBE), using Cu Kα, 1.54184 Å.

Largest 6 diffraction maxima, low angle first, 2θ = 10–90°:
(hkl), two_theta, I_rel
0 0 3, 17.2, 408
3 -1 1, 18.8, 637
4 -1 2, 27.1, 1000
3 -1 4, 29.3, 817
0 4 2, 29.6, 381
2 3 2, 31.9, 813

Structural model:
a b c (Å): 15.1611 15.1611 15.4710
angles (deg): 90.00 90.00 120.00
Space group R-3 (No. 148, hexagonal axes)
Symmetry-distinct sites (fractional):
Rb (0.0231, 0.8598, 0.3967) [18 per cell]
Rb (0.0458, 0.8747, 0.8950) [18 per cell]
I (0.0418, 0.7517, 0.6712) [18 per cell]
O (0.0000, 0.0000, 0.0000) [3 per cell]
O (0.0000, 0.0000, 0.5000) [3 per cell]